# 1
Starting from a GGA-PBE-relaxed structure, the X-ray powder pattern of HoZn10Ga2 was calculated for Cu Kα (λ = 1.5418 Å).

Crystal structure
```
13
Lattice="0.000 6.258 6.328 2.663 0.000 6.328 2.663 6.258 0.000" Properties=species:S:1:pos:R:3 pbc="T T T"
Ho 0.000 0.000 0.000
Zn 1.332 0.000 3.164
Zn 2.663 4.059 2.285
Zn 2.663 4.944 4.960
Zn 2.663 8.457 2.285
Zn 2.663 7.572 4.960
Zn 1.332 6.258 3.164
Zn 2.663 4.944 7.697
Zn 2.663 4.059 10.372
Zn 2.663 7.572 7.697
Zn 2.663 8.457 10.372
Ga 1.332 3.129 0.000
Ga 1.332 3.129 6.328
```

Principal peaks in the range 15° ≤ 2θ ≤ 90°, by intensity:
Position (°2θ)	I (rel.)
40.50	100
39.43	78
40.09	53
34.61	49
73.02	23
33.66	18
44.68	17
44.47	16
84.86	14
64.55	12

# 2
Starting from a GGA-PBE-relaxed structure, the X-ray powder pattern of Ho2ZnGa3 was calculated for Cu Kα (λ = 1.5418 Å).

Crystal structure
```
12
Lattice="0.000 4.391 7.563 3.622 0.000 7.563 3.622 4.391 0.000" Properties=species:S:1:pos:R:3 pbc="T T T"
Ho 5.439 4.391 7.563
Ho 1.811 2.195 3.781
Ho 5.433 6.586 11.344
Ho 1.805 4.391 7.563
Zn 3.622 4.391 5.042
Zn 3.622 4.391 10.084
Ga 3.622 4.391 2.532
Ga 3.622 2.208 6.293
Ga 3.622 2.208 8.833
Ga 3.622 6.574 6.293
Ga 3.622 6.574 8.833
Ga 3.622 4.391 12.594
```

Principal peaks in the range 15° ≤ 2θ ≤ 90°, by intensity:
Position (°2θ)	I (rel.)
34.23	100
41.30	34
23.46	19
54.57	18
41.12	17
67.11	16
50.38	10
54.77	9
70.50	8
70.84	8

# 3
Starting from a GGA-PBE-relaxed structure, the X-ray powder pattern of Ho2Zn3Ga4 was calculated for Cu Kα (λ = 1.5418 Å).

Crystal structure
```
18
Lattice="2.864 -7.558 0.000 2.864 7.558 0.000 0.000 0.000 7.692" Properties=species:S:1:pos:R:3 pbc="T T T"
Ho 2.864 5.932 6.951
Ho 2.864 1.626 3.105
Ho 2.864 -1.626 4.587
Ho 2.864 -5.932 0.741
Zn 0.000 0.000 3.846
Zn 1.432 3.478 5.769
Zn 1.432 -3.478 1.923
Zn 2.864 0.000 0.000
Zn 4.295 3.478 5.769
Zn 4.295 -3.478 1.923
Ga 2.864 4.915 4.012
Ga 1.432 0.908 5.769
Ga 1.432 -0.908 1.923
Ga 2.864 2.643 0.166
Ga 2.864 -2.643 7.526
Ga 4.295 0.908 5.769
Ga 4.295 -0.908 1.923
Ga 2.864 -4.915 3.680
```

Principal peaks in the range 15° ≤ 2θ ≤ 90°, by intensity:
Position (°2θ)	I (rel.)
35.53	100
39.22	49
33.22	40
37.02	36
58.45	23
39.48	20
37.57	18
60.85	16
69.74	15
28.57	14

# 4
Starting from a GGA-PBE-relaxed structure, the X-ray powder pattern of Ho2Zr3Ga4 was calculated for Cu Kα (λ = 1.5418 Å).

Crystal structure
```
18
Lattice="7.519 0.000 0.000 0.000 7.549 0.000 -2.218 0.000 6.889" Properties=species:S:1:pos:R:3 pbc="T T T"
Ho 1.281 1.308 0.483
Ho 0.172 2.467 3.928
Ho 5.129 5.082 2.961
Ho 4.020 6.241 6.406
Zr 1.315 5.134 1.709
Zr 0.206 6.190 5.153
Zr 2.650 0.000 3.445
Zr 3.760 3.774 0.000
Zr 5.095 1.359 1.736
Zr 3.986 2.415 5.181
Ga -1.312 4.043 5.949
Ga -0.203 7.281 2.504
Ga 1.772 0.935 5.999
Ga 2.882 2.839 2.554
Ga 2.419 4.710 4.335
Ga 3.528 6.613 0.891
Ga 5.504 0.268 4.385
Ga 6.613 3.506 0.940
```

Principal peaks in the range 15° ≤ 2θ ≤ 90°, by intensity:
Position (°2θ)	I (rel.)
34.08	100
34.29	100
38.07	68
39.21	66
34.54	57
32.30	55
31.40	53
34.64	39
38.78	37
37.71	35

# 5
Starting from a GGA-PBE-relaxed structure, the X-ray powder pattern of Ga2I3 was calculated for Cu Kα (λ = 1.5418 Å).

Crystal structure
```
20
Lattice="7.997 0.000 0.000 0.000 8.447 0.000 -6.908 0.000 12.744" Properties=species:S:1:pos:R:3 pbc="T T T"
Ga 0.575 0.748 0.785
Ga -2.879 3.475 7.157
Ga 0.161 4.920 4.016
Ga -3.293 7.750 10.388
Ga 4.382 0.697 2.356
Ga 0.928 3.527 8.728
Ga 3.968 4.972 5.588
Ga 0.514 7.698 11.960
I -5.948 5.699 11.206
I -2.494 6.971 4.833
I -4.132 1.798 12.449
I -0.678 2.425 6.077
I -2.026 4.681 9.358
I 1.428 7.990 2.986
I -0.339 0.457 9.759
I 3.115 3.766 3.386
I 1.767 6.022 6.668
I 5.221 6.648 0.295
I 3.582 1.476 7.911
I 7.037 2.748 1.539
```

Principal peaks in the range 15° ≤ 2θ ≤ 90°, by intensity:
Position (°2θ)	I (rel.)
25.19	100
26.21	37
24.71	36
25.30	29
17.43	24
24.58	23
28.19	21
31.22	19
38.39	18
43.82	18

# 6
Starting from a GGA-PBE-relaxed structure, the X-ray powder pattern of InGa3I8 was calculated for Cu Kα (λ = 1.5418 Å).

Crystal structure
```
12
Lattice="6.327 -4.365 0.000 6.327 4.365 0.000 -0.295 0.000 10.449" Properties=species:S:1:pos:R:3 pbc="T T T"
In 0.000 0.000 0.000
Ga -0.147 0.000 5.224
Ga 4.516 0.000 7.711
Ga 7.843 0.000 2.738
I 3.121 0.000 5.555
I 6.246 2.086 2.743
I 6.113 2.086 7.705
I 3.177 0.000 9.907
I 9.181 0.000 0.542
I 6.246 -2.086 2.743
I 6.113 -2.086 7.705
I 9.238 0.000 4.894
```

Principal peaks in the range 15° ≤ 2θ ≤ 90°, by intensity:
Position (°2θ)	I (rel.)
26.61	100
24.78	83
39.54	60
38.81	52
28.23	51
21.76	45
22.38	45
41.38	32
34.33	30
15.08	29

# 7
Starting from a GGA-PBE-relaxed structure, the X-ray powder pattern of In2GaI6 was calculated for Cu Kα (λ = 1.5418 Å).

Crystal structure
```
9
Lattice="3.799 2.193 7.760 -3.799 2.193 7.760 0.000 -4.386 7.760" Properties=species:S:1:pos:R:3 pbc="T T T"
In 0.000 0.000 0.000
In 0.000 0.000 4.070
Ga 0.000 0.000 15.552
I -1.296 -2.321 9.480
I -2.446 -0.190 13.781
I -1.362 2.283 9.480
I 1.388 -2.023 13.781
I 2.659 0.038 9.480
I 1.058 2.213 13.781
```

Principal peaks in the range 15° ≤ 2θ ≤ 90°, by intensity:
Position (°2θ)	I (rel.)
26.12	100
33.00	64
41.16	43
42.27	26
49.40	15
15.47	15
53.73	14
64.09	14
69.85	12
74.99	12

# 8
Starting from a GGA-PBE-relaxed structure, the X-ray powder pattern of In2GaI3 was calculated for Cu Kα (λ = 1.5418 Å).

Crystal structure
```
6
Lattice="-2.419 3.447 7.355 2.419 -3.447 7.355 2.419 3.447 -7.355" Properties=species:S:1:pos:R:3 pbc="T T T"
In 0.000 0.000 2.477
In 0.000 0.000 12.232
Ga 0.000 0.000 7.355
I 2.419 0.000 0.000
I 2.419 0.000 5.064
I 0.000 3.447 2.291
```

Principal peaks in the range 15° ≤ 2θ ≤ 90°, by intensity:
Position (°2θ)	I (rel.)
25.86	100
36.89	52
60.04	24
45.83	14
45.39	14
53.17	13
37.17	13
36.66	13
66.83	9
66.16	8

# 9
Starting from a GGA-PBE-relaxed structure, the X-ray powder pattern of In3GaI8 was calculated for Cu Kα (λ = 1.5418 Å).

Crystal structure
```
12
Lattice="6.505 -4.507 0.000 6.505 4.507 0.000 -0.244 0.000 10.347" Properties=species:S:1:pos:R:3 pbc="T T T"
In 0.000 0.000 0.000
In 4.632 0.000 7.638
In 8.133 0.000 2.709
Ga -0.122 0.000 5.174
I 3.156 0.000 5.327
I 6.424 2.220 2.717
I 6.341 2.220 7.630
I 3.227 0.000 9.994
I 9.539 0.000 0.353
I 6.424 -2.220 2.717
I 6.341 -2.220 7.630
I 9.610 0.000 5.020
```

Principal peaks in the range 15° ≤ 2θ ≤ 90°, by intensity:
Position (°2θ)	I (rel.)
26.22	100
24.02	98
38.62	81
38.00	76
21.70	56
22.21	49
34.68	46
27.43	46
40.01	38
22.76	33

# 10
Starting from a GGA-PBE-relaxed structure, the X-ray powder pattern of InGa2IO8 was calculated for Cu Kα (λ = 1.5418 Å).

Crystal structure
```
12
Lattice="3.267 -3.355 0.000 3.267 3.355 0.000 0.000 0.000 6.323" Properties=species:S:1:pos:R:3 pbc="T T T"
In 0.000 0.000 0.000
Ga 3.267 0.000 1.526
Ga 3.267 0.000 4.796
I 0.000 0.000 3.161
O 3.267 2.053 1.773
O 3.267 2.053 4.550
O 1.951 0.000 3.161
O 2.064 0.000 0.000
O 4.471 0.000 0.000
O 4.584 0.000 3.161
O 3.267 -2.053 1.773
O 3.267 -2.053 4.550
```

Principal peaks in the range 15° ≤ 2θ ≤ 90°, by intensity:
Position (°2θ)	I (rel.)
34.23	100
26.57	68
27.29	64
52.01	43
52.83	42
38.46	26
66.86	26
18.96	17
39.15	12
54.72	11

# 11
Starting from a GGA-PBE-relaxed structure, the X-ray powder pattern of RbInGa2I8 was calculated for Cu Kα (λ = 1.5418 Å).

Crystal structure
```
12
Lattice="7.609 0.000 0.000 -3.804 6.589 0.000 0.000 0.000 11.683" Properties=species:S:1:pos:R:3 pbc="T T T"
Rb 0.000 0.000 0.000
In 0.000 0.000 5.842
Ga 0.000 4.393 9.027
Ga 3.804 2.196 2.656
I -1.257 2.271 8.211
I 0.000 4.393 11.606
I -1.209 6.543 8.211
I 1.338 2.224 3.472
I 2.466 4.365 8.211
I 5.013 0.047 3.472
I 3.804 2.196 0.077
I 5.062 4.318 3.472
```

Principal peaks in the range 15° ≤ 2θ ≤ 90°, by intensity:
Position (°2θ)	I (rel.)
24.61	100
27.99	74
41.10	45
38.87	32
15.44	29
22.84	22
52.10	18
47.53	17
45.56	17
32.91	17

# 12
Starting from a GGA-PBE-relaxed structure, the X-ray powder pattern of ThInGaI6 was calculated for Cu Kα (λ = 1.5418 Å).

Crystal structure
```
18
Lattice="8.221 0.000 0.000 -4.110 7.119 0.000 0.000 0.000 14.822" Properties=species:S:1:pos:R:3 pbc="T T T"
Th 0.000 4.746 3.705
Th 4.110 2.373 11.116
In 0.000 0.000 0.000
In 0.000 0.000 7.411
Ga 0.000 4.746 11.116
Ga 4.110 2.373 3.705
I -1.351 2.605 1.943
I -2.530 4.647 5.468
I 1.351 2.605 5.468
I -1.179 6.987 1.943
I 2.931 0.132 9.354
I 1.580 2.472 12.879
I 2.530 4.647 1.943
I 1.179 6.987 5.468
I 5.290 0.132 12.879
I 2.759 4.515 9.354
I 6.641 2.472 9.354
I 5.461 4.515 12.879
```

Principal peaks in the range 15° ≤ 2θ ≤ 90°, by intensity:
Position (°2θ)	I (rel.)
24.77	100
32.53	71
37.91	47
17.27	40
42.70	25
63.73	19
50.80	19
35.49	17
65.10	16
45.82	16